Entry 1:
Diffraction record for Cs2Ti2S9. The XRD peak list is computed, not measured: it uses a structure optimized by DFT (GGA-PBE) and a wavelength of 1.5418 Å.
Neutral-atom scattering factors, no anomalous dispersion.

Structure:
Cell lengths 10.5332, 10.5332, 10.5332 Å; angles 84.06, 84.06, 84.06 degrees
Atoms (fractional coordinates):
Cs 0.0000 0.0000 0.0000
Cs 0.1751 0.4413 0.7876
Cs 0.2422 0.2422 0.2422
Cs 0.4413 0.7876 0.1751
Cs 0.6685 0.6685 0.6685
Cs 0.7876 0.1751 0.4413
Ti 0.0110 0.7335 0.3397
Ti 0.1853 0.8796 0.5303
Ti 0.3397 0.0110 0.7335
Ti 0.5303 0.1853 0.8796
Ti 0.7335 0.3397 0.0110
Ti 0.8796 0.5303 0.1853
S 0.0357 0.7172 0.5768
S 0.1046 0.6028 0.1651
S 0.1302 0.9171 0.3148
S 0.1651 0.1046 0.6028
S 0.1884 0.5640 0.3367
S 0.2096 0.8362 0.7842
S 0.3148 0.1302 0.9171
S 0.3367 0.1884 0.5640
S 0.3684 0.7259 0.5120
S 0.3959 0.8009 0.8330
S 0.4075 0.9151 0.5092
S 0.5092 0.4075 0.9151
S 0.5120 0.3684 0.7259
S 0.5640 0.3367 0.1884
S 0.5768 0.0357 0.7172
S 0.6028 0.1651 0.1046
S 0.6434 0.9708 0.8935
S 0.7172 0.5768 0.0357
S 0.7259 0.5120 0.3684
S 0.7842 0.2096 0.8362
S 0.8009 0.8330 0.3959
S 0.8330 0.3959 0.8009
S 0.8362 0.7842 0.2096
S 0.8935 0.6434 0.9708
S 0.9151 0.5092 0.4075
S 0.9171 0.3148 0.1302
S 0.9708 0.8935 0.6434

The 10 most intense peaks (2θ from 10° to 80°), by angle:
- 12.6 deg, rel. 28.0
- 18.3 deg, rel. 98.1
- 21.8 deg, rel. 82.2
- 26.2 deg, rel. 40.6
- 28.6 deg, rel. 100.0
- 29.6 deg, rel. 64.0
- 31.9 deg, rel. 21.4
- 34.6 deg, rel. 28.1
- 43.4 deg, rel. 33.2
- 44.5 deg, rel. 21.9

---

Entry 2:
Diffraction record for HoH8Rh4. The XRD peak list is computed, not measured: it uses a structure optimized by DFT (GGA-PBE) and a wavelength of 1.5418 Å.
Neutral-atom scattering factors, no anomalous dispersion.

Structure:
Cell lengths 5.5778, 5.6725, 5.8285 Å; angles 90.97, 118.30, 119.36 degrees
Atoms (fractional coordinates):
Ho 0.0000 0.0000 0.0000
H 0.0607 0.3494 0.7698
H 0.0726 0.2720 0.3730
H 0.4272 0.7275 0.6296
H 0.4446 0.6669 0.2244
H 0.5554 0.3331 0.7756
H 0.5728 0.2725 0.3704
H 0.9274 0.7280 0.6270
H 0.9393 0.6506 0.2302
Rh 0.0000 0.5000 0.0000
Rh 0.0000 0.5000 0.5000
Rh 0.5000 0.5000 0.0000
Rh 0.5000 0.5000 0.5000

The 10 most intense peaks (2θ from 10° to 80°), by angle:
- 18.3 deg, rel. 25.5
- 19.0 deg, rel. 70.7
- 19.2 deg, rel. 47.8
- 37.1 deg, rel. 70.1
- 38.5 deg, rel. 52.4
- 39.1 deg, rel. 100.0
- 44.2 deg, rel. 36.8
- 44.8 deg, rel. 35.6
- 45.0 deg, rel. 35.0
- 63.7 deg, rel. 24.1

---

Entry 3:
Diffraction record for TaPCl9. The XRD peak list is computed, not measured: it uses a structure optimized by DFT (GGA-PBE) and a wavelength of 1.5418 Å.
Neutral-atom scattering factors, no anomalous dispersion.

Structure:
Cell lengths 7.6894, 10.4068, 11.0592 Å; angles 77.32, 89.36, 73.18 degrees
Atoms (fractional coordinates):
Ta 0.1442 0.2053 0.1949
Ta 0.8558 0.7947 0.8051
P 0.3758 0.7810 0.3272
P 0.6242 0.2190 0.6728
Cl 0.0009 0.0308 0.2519
Cl 0.1103 0.6102 0.8529
Cl 0.1639 0.2117 0.4051
Cl 0.1652 0.1657 0.9950
Cl 0.2268 0.6575 0.2883
Cl 0.3332 0.7881 0.5055
Cl 0.3642 0.3226 0.1551
Cl 0.3657 0.3407 0.6714
Cl 0.4496 0.9954 0.2491
Cl 0.5504 0.0046 0.7509
Cl 0.6343 0.6593 0.3286
Cl 0.6358 0.6774 0.8449
Cl 0.6668 0.2119 0.4945
Cl 0.7732 0.3425 0.7117
Cl 0.8348 0.8343 0.0050
Cl 0.8361 0.7883 0.5949
Cl 0.8897 0.3898 0.1471
Cl 0.9991 0.9692 0.7481

The 10 most intense peaks (2θ from 10° to 80°), by angle:
- 10.8 deg, rel. 45.5
- 13.6 deg, rel. 30.3
- 14.2 deg, rel. 100.0
- 14.4 deg, rel. 99.4
- 16.5 deg, rel. 44.4
- 16.9 deg, rel. 46.8
- 17.1 deg, rel. 25.7
- 18.3 deg, rel. 48.2
- 32.4 deg, rel. 34.0
- 34.7 deg, rel. 34.8

---

Entry 4:
Diffraction record for PrMg5Rh6. The XRD peak list is computed, not measured: it uses a structure optimized by DFT (GGA-PBE) and a wavelength of 1.5418 Å.
Neutral-atom scattering factors, no anomalous dispersion.

Structure:
Cell lengths 7.1257, 7.1257, 6.4667 Å; angles 90.00, 90.00, 143.13 degrees
Atoms (fractional coordinates):
Pr 0.0000 0.0000 0.0000
Mg 0.0000 0.0000 0.5000
Mg 0.3273 0.6727 0.0000
Mg 0.3334 0.6666 0.5000
Mg 0.6666 0.3334 0.5000
Mg 0.6727 0.3273 0.0000
Rh 0.1713 0.8287 0.2598
Rh 0.1713 0.8287 0.7402
Rh 0.5000 0.5000 0.2669
Rh 0.5000 0.5000 0.7331
Rh 0.8287 0.1713 0.2598
Rh 0.8287 0.1713 0.7402

The 10 most intense peaks (2θ from 10° to 80°), by angle:
- 25.0 deg, rel. 6.9
- 27.6 deg, rel. 10.7
- 28.0 deg, rel. 21.3
- 39.7 deg, rel. 100.0
- 40.0 deg, rel. 49.6
- 49.3 deg, rel. 8.3
- 57.0 deg, rel. 8.1
- 57.9 deg, rel. 16.3
- 71.9 deg, rel. 16.0
- 72.5 deg, rel. 32.0

---

Entry 5:
Diffraction record for Ho4TmSc5. The XRD peak list is computed, not measured: it uses a structure optimized by DFT (GGA-PBE) and a wavelength of 1.5418 Å.
Neutral-atom scattering factors, no anomalous dispersion.

Structure:
Cell lengths 7.8029, 7.8029, 9.6777 Å; angles 126.78, 126.78, 39.80 degrees
Atoms (fractional coordinates):
Ho 0.2468 0.2468 0.1287
Ho 0.2520 0.2520 0.6303
Ho 0.7480 0.7480 0.3697
Ho 0.7532 0.7532 0.8713
Tm 0.5000 0.5000 0.5000
Sc 0.0000 0.0000 0.0000
Sc 0.0505 0.0505 0.7101
Sc 0.4477 0.4477 0.0994
Sc 0.5523 0.5523 0.9006
Sc 0.9495 0.9495 0.2899

The 10 most intense peaks (2θ from 10° to 80°), by angle:
- 15.7 deg, rel. 25.6
- 26.0 deg, rel. 42.6
- 26.3 deg, rel. 100.0
- 31.6 deg, rel. 49.4
- 32.5 deg, rel. 18.3
- 33.7 deg, rel. 54.5
- 34.2 deg, rel. 81.1
- 34.9 deg, rel. 39.2
- 46.9 deg, rel. 33.0
- 60.6 deg, rel. 19.3

---

Entry 6:
Diffraction record for CeCrB4. The XRD peak list is computed, not measured: it uses a structure optimized by DFT (GGA-PBE) and a wavelength of 1.5418 Å.
Neutral-atom scattering factors, no anomalous dispersion.

Structure:
Cell lengths 5.9597, 11.5274, 3.5478 Å; angles 90.00, 90.00, 90.00 degrees
Atoms (fractional coordinates):
Ce 0.1236 0.1511 0.0000
Ce 0.3764 0.6511 0.0000
Ce 0.6236 0.3489 0.0000
Ce 0.8764 0.8489 0.0000
Cr 0.1232 0.4185 0.0000
Cr 0.3768 0.9185 0.0000
Cr 0.6232 0.0815 0.0000
Cr 0.8768 0.5815 0.0000
B 0.0253 0.6898 0.5000
B 0.1123 0.5458 0.5000
B 0.1399 0.9669 0.5000
B 0.2214 0.8170 0.5000
B 0.2786 0.3170 0.5000
B 0.3601 0.4669 0.5000
B 0.3877 0.0458 0.5000
B 0.4747 0.1898 0.5000
B 0.5253 0.8102 0.5000
B 0.6123 0.9542 0.5000
B 0.6399 0.5331 0.5000
B 0.7214 0.6830 0.5000
B 0.7786 0.1830 0.5000
B 0.8601 0.0331 0.5000
B 0.8877 0.4542 0.5000
B 0.9747 0.3102 0.5000

The 10 most intense peaks (2θ from 10° to 80°), by angle:
- 21.4 deg, rel. 23.0
- 25.1 deg, rel. 67.8
- 27.6 deg, rel. 34.7
- 31.0 deg, rel. 80.2
- 33.2 deg, rel. 22.3
- 37.7 deg, rel. 39.5
- 40.3 deg, rel. 100.0
- 43.2 deg, rel. 24.8
- 46.3 deg, rel. 21.1
- 61.4 deg, rel. 22.6

---

Entry 7:
Diffraction record for AcNd2Ni4. The XRD peak list is computed, not measured: it uses a structure optimized by DFT (GGA-PBE) and a wavelength of 1.5418 Å.
Neutral-atom scattering factors, no anomalous dispersion.

Structure:
Cell lengths 9.2972, 9.2972, 9.2972 Å; angles 154.48, 154.24, 36.58 degrees
Atoms (fractional coordinates):
Ac 0.0000 0.0000 0.0000
Nd 0.3148 0.8148 0.5000
Nd 0.6852 0.1852 0.5000
Ni 0.1450 0.6450 0.5000
Ni 0.4310 0.4310 0.0000
Ni 0.5690 0.5690 0.0000
Ni 0.8550 0.3550 0.5000

The 10 most intense peaks (2θ from 10° to 80°), by angle:
- 26.3 deg, rel. 32.9
- 30.4 deg, rel. 17.9
- 32.3 deg, rel. 100.0
- 33.5 deg, rel. 52.0
- 36.9 deg, rel. 26.6
- 41.9 deg, rel. 27.0
- 43.7 deg, rel. 28.4
- 44.1 deg, rel. 21.8
- 56.1 deg, rel. 23.8
- 62.5 deg, rel. 16.1

---

Entry 8:
Diffraction record for Nb2AlPb2. The XRD peak list is computed, not measured: it uses a structure optimized by DFT (GGA-PBE) and a wavelength of 1.5418 Å.
Neutral-atom scattering factors, no anomalous dispersion.

Structure:
Cell lengths 7.0908, 7.0908, 4.3583 Å; angles 90.00, 90.00, 90.00 degrees
Atoms (fractional coordinates):
Nb 0.1419 0.3581 0.0000
Nb 0.3581 0.8581 0.0000
Nb 0.6419 0.1419 0.0000
Nb 0.8581 0.6419 0.0000
Al 0.0000 0.0000 0.0000
Al 0.5000 0.5000 0.0000
Pb 0.1655 0.6655 0.5000
Pb 0.3345 0.1655 0.5000
Pb 0.6655 0.8345 0.5000
Pb 0.8345 0.3345 0.5000

The 10 most intense peaks (2θ from 10° to 80°), by angle:
- 17.7 deg, rel. 15.0
- 25.1 deg, rel. 12.7
- 28.1 deg, rel. 10.9
- 35.0 deg, rel. 100.0
- 40.2 deg, rel. 19.3
- 41.4 deg, rel. 15.0
- 57.6 deg, rel. 15.5
- 59.1 deg, rel. 17.1
- 71.4 deg, rel. 12.8
- 75.4 deg, rel. 13.1